Starting from a PBE-relaxed structure, the powder XRD pattern of LaTbTmTh2 was calculated for Cu Kα, 1.54184 Å.
Intensities are scaled so that the largest is 100.

Top 10 peaks for 10° ≤ 2θ ≤ 90°, low angle first:
index  d [Å]  2theta  I_rel
0 2 0  5.939  14.92  57
2 2 0  3.472  25.66  57
1 1 2  3.157  28.27  44
0 2 2  3.044  29.34  69
0 4 0  2.970  30.09  67
3 1 0  2.774  32.27  51
2 0 2  2.730  32.81  100
1 3 2  2.524  35.57  45
3 3 0  2.315  38.91  45
2 4 2  2.010  45.11  64

Cell: 8.559 11.879 7.090 Å, 90.00 90.00 90.00°
Space group Cmcm (No. 63)
Symmetry-distinct sites (fractional):
La (0.000, 0.244, 0.250) x4
Tb (0.000, 0.289, 0.750) x4
Tm (0.000, 0.024, 0.750) x4
Th (0.188, 0.500, 0.000) x8


Starting from a PBE-relaxed structure, the powder XRD pattern of LaTb2Tm5Th was calculated for Cu Kα, 1.54184 Å.
Intensities are scaled so that the largest is 100.

Top 10 peaks for 10° ≤ 2θ ≤ 90°, low angle first:
index  d [Å]  2theta  I_rel
2 1 3  3.079  29.00  44
2 2 0  3.062  29.17  50
2 0 4  2.859  31.28  100
3 1 0  2.739  32.70  19
2 1 5  2.394  37.57  12
3 2 1  2.373  37.92  16
4 0 2  2.082  43.48  21
0 0 8  1.904  47.78  13
4 2 4  1.726  53.06  21
2 2 8  1.617  56.96  14

Cell: 8.660 8.660 15.229 Å, 90.00 90.00 90.00°
Space group I4/mcm (No. 140)
Symmetry-distinct sites (fractional):
La (0.000, 0.500, 0.250) x4
Tb (0.116, 0.384, 0.000) x8
Tm (0.000, 0.000, 0.000) x4
Tm (0.208, 0.292, 0.365) x16
Th (0.000, 0.000, 0.250) x4